1.
This entry pairs a crystal structure of CoTcNi6 with its calculated powder X-ray diffraction pattern. Radiation: Cu Kα (λ = 1.5418 Å). Structure: DFT lattice parameters and positions (PBE).
Lines closer than 0.1° are merged.

Crystal structure
```
data_CoTcNi6
_symmetry_space_group_name_H-M 'A m m 2'
_symmetry_Int_Tables_number 38
_cell_length_a 3.544
_cell_length_b 7.149
_cell_length_c 7.114
_cell_angle_alpha 90.00
_cell_angle_beta 90.00
_cell_angle_gamma 90.00
loop_
_symmetry_equiv_pos_as_xyz
'x,y,z'
'-x,-y,z'
'-x,y,z'
'x,-y,z'
'x,y+1/2,z+1/2'
'-x,-y+1/2,z+1/2'
'-x,y+1/2,z+1/2'
'x,-y+1/2,z+1/2'
loop_
_atom_site_label
_atom_site_fract_x
_atom_site_fract_y
_atom_site_fract_z
Co1 0.000 0.000 0.000
Tc1 0.500 0.000 0.245
Ni1 0.000 0.000 0.498
Ni2 0.000 0.248 0.749
Ni3 0.500 0.000 0.750
Ni4 0.500 0.250 0.498
```

Most intense lines, 2θ from 15° to 90°, in order of rising 2θ:
2theta, d_spacing, I_rel
44.1, 2.054, 100.0
51.1, 1.787, 15.8
51.4, 1.778, 15.5
51.6, 1.772, 15.3
75.4, 1.261, 9.1
75.6, 1.258, 9.1


2.
This entry pairs a crystal structure of CaY5In4 with its calculated powder X-ray diffraction pattern. Radiation: Cu Kα (λ = 1.5418 Å). Structure: DFT lattice parameters and positions (PBE).
Lines closer than 0.1° are merged.

Crystal structure
```
data_CaY5In4
_symmetry_space_group_name_H-M 'P 4/m m m'
_symmetry_Int_Tables_number 123
_symmetry_space_group_name_Hall '-P 4 2'
_cell_length_a 3.688
_cell_length_b 3.688
_cell_length_c 21.181
_cell_angle_alpha 90.00
_cell_angle_beta 90.00
_cell_angle_gamma 90.00
loop_
_atom_site_label
_atom_site_fract_x
_atom_site_fract_y
_atom_site_fract_z
Ca1 0.000 0.000 0.000
Y1 0.500 0.500 0.130
Y2 0.500 0.500 0.314
Y3 0.500 0.500 0.500
In1 0.000 0.000 0.221
In2 0.000 0.000 0.407
```

Most intense lines, 2θ from 15° to 90°, in order of rising 2θ:
2theta, d_spacing, I_rel
32.2, 2.782, 100.0
34.4, 2.608, 58.4
35.2, 2.550, 35.5
49.4, 1.844, 20.3
59.7, 1.549, 17.1
60.2, 1.537, 31.3


3.
This entry pairs a crystal structure of Sc6CS3 with its calculated powder X-ray diffraction pattern. Radiation: Cu Kα (λ = 1.5418 Å). Structure: DFT lattice parameters and positions (PBE).
Lines closer than 0.1° are merged.

Crystal structure
```
data_Sc6CS3
_symmetry_space_group_name_H-M 'P 1 21/c 1'
_symmetry_Int_Tables_number 14
_cell_length_a 5.931
_cell_length_b 6.675
_cell_length_c 10.433
_cell_angle_alpha 90.00
_cell_angle_beta 120.22
_cell_angle_gamma 90.00
loop_
_symmetry_equiv_pos_as_xyz
'x,y,z'
'-x,-y,-z'
'-x,y+1/2,-z+1/2'
'x,-y+1/2,z+1/2'
loop_
_atom_site_label
_atom_site_fract_x
_atom_site_fract_y
_atom_site_fract_z
Sc1 0.095 0.203 0.438
Sc2 0.244 0.667 0.421
Sc3 0.385 0.028 0.227
C1 0.000 0.000 0.000
S1 0.169 0.119 0.719
S2 0.500 0.000 0.500
```

Most intense lines, 2θ from 15° to 90°, in order of rising 2θ:
2theta, d_spacing, I_rel
32.0, 2.797, 75.7
33.1, 2.704, 52.8
34.0, 2.640, 100.0
34.5, 2.601, 97.0
37.1, 2.424, 49.0
43.5, 2.082, 61.5


4.
This entry pairs a crystal structure of AcSm3Er2 with its calculated powder X-ray diffraction pattern. Radiation: Cu Kα (λ = 1.5418 Å). Structure: DFT lattice parameters and positions (PBE).
Lines closer than 0.1° are merged.

Crystal structure
```
data_AcSm3Er2
_symmetry_space_group_name_H-M 'C 1 2/c 1'
_symmetry_Int_Tables_number 15
_cell_length_a 9.230
_cell_length_b 10.029
_cell_length_c 9.093
_cell_angle_alpha 90.00
_cell_angle_beta 102.19
_cell_angle_gamma 90.00
loop_
_symmetry_equiv_pos_as_xyz
'x,y,z'
'-x,-y,-z'
'-x,y,-z+1/2'
'x,-y,z+1/2'
'x+1/2,y+1/2,z'
'-x+1/2,-y+1/2,-z'
'-x+1/2,y+1/2,-z+1/2'
'x+1/2,-y+1/2,z+1/2'
loop_
_atom_site_label
_atom_site_fract_x
_atom_site_fract_y
_atom_site_fract_z
Ac1 0.000 0.066 0.250
Sm1 0.000 0.407 0.250
Sm2 0.226 0.410 0.984
Er1 0.129 0.256 0.624
```

Most intense lines, 2θ from 15° to 90°, in order of rising 2θ:
2theta, d_spacing, I_rel
30.6, 2.919, 31.6
30.8, 2.905, 32.5
31.0, 2.888, 100.0
31.1, 2.877, 36.0
54.8, 1.676, 17.1
55.2, 1.663, 17.2


5.
This entry pairs a crystal structure of BaTiInSb2 with its calculated powder X-ray diffraction pattern. Radiation: Cu Kα (λ = 1.5418 Å). Structure: DFT lattice parameters and positions (PBE).
Lines closer than 0.1° are merged.

Crystal structure
```
data_BaTiInSb2
_symmetry_space_group_name_H-M 'P 4/m m m'
_symmetry_Int_Tables_number 123
_symmetry_space_group_name_Hall '-P 4 2'
_cell_length_a 5.393
_cell_length_b 5.393
_cell_length_c 5.373
_cell_angle_alpha 90.00
_cell_angle_beta 90.00
_cell_angle_gamma 90.00
loop_
_atom_site_label
_atom_site_fract_x
_atom_site_fract_y
_atom_site_fract_z
Ba1 0.000 0.000 0.000
Ti1 0.500 0.500 0.500
In1 0.500 0.500 0.000
Sb1 0.000 0.500 0.500
```

Most intense lines, 2θ from 15° to 90°, in order of rising 2θ:
2theta, d_spacing, I_rel
28.7, 3.110, 100.0
33.2, 2.696, 50.3
33.4, 2.686, 24.9
47.8, 1.904, 53.3
56.6, 1.625, 29.2
59.4, 1.555, 18.2


6.
This entry pairs a crystal structure of AlAg6 with its calculated powder X-ray diffraction pattern. Radiation: Cu Kα (λ = 1.5418 Å). Structure: DFT lattice parameters and positions (PBE).
Lines closer than 0.1° are merged.

Crystal structure
```
data_AlAg6
_symmetry_space_group_name_H-M 'R -3 m'
_symmetry_Int_Tables_number 166
_symmetry_space_group_name_Hall '-R 3 2"'
_cell_length_a 4.6368
_cell_length_b 4.6368
_cell_length_c 19.8404
_cell_angle_alpha 90.00
_cell_angle_beta 90.00
_cell_angle_gamma 120.00
loop_
_atom_site_label
_atom_site_fract_x
_atom_site_fract_y
_atom_site_fract_z
Al1 0.0000 0.0000 0.0000
Ag1 0.0000 0.0000 0.1390
Ag2 0.0000 0.0000 0.2875
Ag3 0.0000 0.0000 0.4287
```

Most intense lines, 2θ from 15° to 90°, in order of rising 2θ:
2theta, d_spacing, I_rel
38.9, 2.317, 100.0
56.1, 1.638, 16.1
70.4, 1.338, 24.0
70.5, 1.336, 7.7
83.4, 1.159, 5.1
83.5, 1.158, 4.9


7.
This entry pairs a crystal structure of BaSiAu3 with its calculated powder X-ray diffraction pattern. Radiation: Cu Kα (λ = 1.5418 Å). Structure: DFT lattice parameters and positions (PBE).
Lines closer than 0.1° are merged.

Crystal structure
```
data_BaSiAu3
_symmetry_space_group_name_H-M 'P m a 2'
_symmetry_Int_Tables_number 28
_cell_length_a 9.359
_cell_length_b 5.297
_cell_length_c 4.709
_cell_angle_alpha 90.00
_cell_angle_beta 90.00
_cell_angle_gamma 90.00
loop_
_symmetry_equiv_pos_as_xyz
'x,y,z'
'-x,-y,z'
'-x+1/2,y,z'
'x+1/2,-y,z'
loop_
_atom_site_label
_atom_site_fract_x
_atom_site_fract_y
_atom_site_fract_z
Ba1 0.000 0.000 0.000
Si1 0.250 0.307 0.501
Au1 0.000 0.500 0.498
Au2 0.250 0.487 0.001
Au3 0.250 0.841 0.501
```

Most intense lines, 2θ from 15° to 90°, in order of rising 2θ:
2theta, d_spacing, I_rel
31.8, 2.813, 100.0
38.2, 2.354, 22.4
38.5, 2.339, 25.8
43.7, 2.070, 14.7
55.4, 1.660, 15.4
65.1, 1.433, 13.1


8.
This entry pairs a crystal structure of PuBr3N with its calculated powder X-ray diffraction pattern. Radiation: Cu Kα (λ = 1.5418 Å). Structure: DFT lattice parameters and positions (PBE).
Lines closer than 0.1° are merged.

Crystal structure
```
data_PuBr3N
_symmetry_space_group_name_H-M 'P 1'
_symmetry_Int_Tables_number 1
_cell_length_a 5.721
_cell_length_b 8.008
_cell_length_c 8.554
_cell_angle_alpha 79.95
_cell_angle_beta 89.88
_cell_angle_gamma 88.67
loop_
_symmetry_equiv_pos_as_xyz
'x,y,z'
loop_
_atom_site_label
_atom_site_fract_x
_atom_site_fract_y
_atom_site_fract_z
Pu1 0.000 0.000 0.000
Pu2 0.000 0.000 0.500
Br1 0.007 0.755 0.290
Br2 0.008 0.755 0.790
Br3 0.500 0.001 0.000
Br4 0.500 0.999 0.500
Br5 0.992 0.244 0.710
Br6 0.993 0.244 0.210
N1 0.491 0.493 0.502
N2 0.509 0.507 0.000
```

Most intense lines, 2θ from 15° to 90°, in order of rising 2θ:
2theta, d_spacing, I_rel
15.5, 5.720, 100.0
25.7, 3.472, 48.6
28.2, 3.167, 60.2
31.3, 2.860, 50.9
33.7, 2.656, 39.1
43.0, 2.105, 34.9